1.
Theoretical X-ray powder pattern of MgAlO2F5 for CuKα, from a cell relaxed with GGA-PBE.
Kinematic intensities with the Lorentz-polarization factor, no thermal factor.

The 10 most intense peaks (10° ≤ 2θ ≤ 80°), in order of falling intensity:
| Position (°2θ) | d_spacing | I/Imax |
| --- | --- | --- |
| 15.2 | 5.835 | 100 |
| 29.6 | 3.015 | 43 |
| 17.8 | 4.996 | 41 |
| 51.0 | 1.792 | 34 |
| 24.8 | 3.583 | 31 |
| 30.6 | 2.917 | 27 |
| 46.7 | 1.945 | 25 |
| 38.8 | 2.323 | 19 |
| 28.9 | 3.086 | 18 |
| 54.5 | 1.684 | 13 |

Crystal structure
```
data_MgAlO2F5
_chemical_formula_sum 'Mg4 Al4 O8 F20'
_space_group_name_H-M_alt 'I m m a'
_space_group_IT_number 74
_space_group_name_Hall '-I 2b 2'
_cell_length_a 7.044
_cell_length_b 10.285
_cell_length_c 7.086
_cell_angle_alpha 90.00
_cell_angle_beta 90.00
_cell_angle_gamma 90.00
loop_
_atom_site_label
_atom_site_type_symbol
_atom_site_fract_x
_atom_site_fract_y
_atom_site_fract_z
Mg1 Mg 0.000 0.000 0.000
Al1 Al 0.250 0.250 0.250
O1 O 0.000 0.114 0.740
F1 F 0.000 0.250 0.325
F2 F 0.197 0.123 0.077
```



2.
Theoretical X-ray powder pattern of AlNF4 for CuKα, from a cell relaxed with GGA-PBE.
Kinematic intensities with the Lorentz-polarization factor, no thermal factor.

The 10 most intense peaks (10° ≤ 2θ ≤ 80°), in order of falling intensity:
| Position (°2θ) | d_spacing | I/Imax |
| --- | --- | --- |
| 14.3 | 6.208 | 100 |
| 25.0 | 3.569 | 70 |
| 28.8 | 3.098 | 50 |
| 51.2 | 1.784 | 36 |
| 51.0 | 1.790 | 27 |
| 35.6 | 2.523 | 23 |
| 38.5 | 2.339 | 23 |
| 75.2 | 1.264 | 19 |
| 43.7 | 2.069 | 18 |
| 57.8 | 1.596 | 17 |

Crystal structure
```
data_AlNF4
_chemical_formula_sum 'Al4 N4 F16'
_space_group_name_H-M_alt 'I 4/m c m'
_space_group_IT_number 140
_space_group_name_Hall '-I 4 2c'
_cell_length_a 5.047
_cell_length_b 5.047
_cell_length_c 12.416
_cell_angle_alpha 90.00
_cell_angle_beta 90.00
_cell_angle_gamma 90.00
loop_
_atom_site_label
_atom_site_type_symbol
_atom_site_fract_x
_atom_site_fract_y
_atom_site_fract_z
Al1 Al 0.000 0.000 0.000
N1 N 0.000 0.500 0.250
F1 F 0.000 0.000 0.146
F2 F 0.204 0.296 0.000
```



3.
Theoretical X-ray powder pattern of AlNF4 for CuKα, from a cell relaxed with GGA-PBE.
Kinematic intensities with the Lorentz-polarization factor, no thermal factor.

The 10 most intense peaks (10° ≤ 2θ ≤ 80°), in order of falling intensity:
| Position (°2θ) | d_spacing | I/Imax |
| --- | --- | --- |
| 14.3 | 6.183 | 100 |
| 24.5 | 3.630 | 84 |
| 50.3 | 1.815 | 47 |
| 28.5 | 3.131 | 38 |
| 51.0 | 1.792 | 30 |
| 38.0 | 2.371 | 22 |
| 28.9 | 3.091 | 21 |
| 35.0 | 2.567 | 19 |
| 43.9 | 2.061 | 18 |
| 74.4 | 1.275 | 16 |

Crystal structure
```
data_AlNF4
_chemical_formula_sum 'Al1 N1 F4'
_space_group_name_H-M_alt 'P 4/m m m'
_space_group_IT_number 123
_space_group_name_Hall '-P 4 2'
_cell_length_a 3.630
_cell_length_b 3.630
_cell_length_c 6.183
_cell_angle_alpha 90.00
_cell_angle_beta 90.00
_cell_angle_gamma 90.00
loop_
_atom_site_label
_atom_site_type_symbol
_atom_site_fract_x
_atom_site_fract_y
_atom_site_fract_z
Al1 Al 0.000 0.000 0.000
N1 N 0.500 0.500 0.500
F1 F 0.000 0.000 0.291
F2 F 0.000 0.500 0.000
```



4.
Theoretical X-ray powder pattern of AlNF4 for CuKα, from a cell relaxed with GGA-PBE.
Kinematic intensities with the Lorentz-polarization factor, no thermal factor.

The 10 most intense peaks (10° ≤ 2θ ≤ 80°), in order of falling intensity:
| Position (°2θ) | d_spacing | I/Imax |
| --- | --- | --- |
| 14.2 | 6.251 | 100 |
| 18.5 | 4.783 | 64 |
| 28.7 | 3.110 | 27 |
| 43.4 | 2.084 | 25 |
| 24.3 | 3.661 | 20 |
| 56.2 | 1.637 | 17 |
| 28.3 | 3.159 | 17 |
| 53.6 | 1.710 | 13 |
| 28.6 | 3.125 | 12 |
| 49.8 | 1.830 | 12 |

Crystal structure
```
data_AlNF4
_chemical_formula_sum 'Al20 N20 F80'
_space_group_name_H-M_alt 'I 4/m c m'
_space_group_IT_number 140
_space_group_name_Hall '-I 4 2c'
_cell_length_a 11.577
_cell_length_b 11.577
_cell_length_c 12.502
_cell_angle_alpha 90.00
_cell_angle_beta 90.00
_cell_angle_gamma 90.00
loop_
_atom_site_label
_atom_site_type_symbol
_atom_site_fract_x
_atom_site_fract_y
_atom_site_fract_z
Al1 Al 0.000 0.500 0.000
Al2 Al 0.076 0.209 0.000
N1 N 0.000 0.000 0.250
N2 N 0.161 0.339 0.190
F1 F 0.000 0.340 0.000
F2 F 0.000 0.500 0.139
F3 F 0.066 0.139 0.500
F4 F 0.085 0.217 0.150
F5 F 0.220 0.280 0.000
```



5.
Theoretical X-ray powder pattern of Rb2NaAl3F12 for CuKα, from a cell relaxed with GGA-PBE.
Kinematic intensities with the Lorentz-polarization factor, no thermal factor.

The 10 most intense peaks (10° ≤ 2θ ≤ 80°), in order of falling intensity:
| Position (°2θ) | d_spacing | I/Imax |
| --- | --- | --- |
| 29.3 | 3.046 | 100 |
| 29.5 | 3.028 | 84 |
| 24.8 | 3.584 | 48 |
| 51.7 | 1.769 | 28 |
| 29.7 | 3.011 | 27 |
| 47.0 | 1.933 | 27 |
| 24.7 | 3.603 | 27 |
| 35.5 | 2.530 | 27 |
| 29.0 | 3.075 | 26 |
| 38.9 | 2.316 | 22 |

Crystal structure
```
data_Rb2NaAl3F12
_chemical_formula_sum 'Rb4 Na2 Al6 F24'
_space_group_name_H-M_alt 'P 1 21/m 1'
_space_group_IT_number 11
_cell_length_a 7.207
_cell_length_b 7.107
_cell_length_c 10.029
_cell_angle_alpha 90.00
_cell_angle_beta 91.04
_cell_angle_gamma 90.00
loop_
_space_group_symop_operation_xyz
'x,y,z'
'-x,-y,-z'
'-x,y+1/2,-z'
'x,-y+1/2,z'
loop_
_atom_site_label
_atom_site_type_symbol
_atom_site_fract_x
_atom_site_fract_y
_atom_site_fract_z
Rb1 Rb 0.004 0.250 0.383
Rb2 Rb 0.480 0.750 0.862
Na1 Na 0.219 0.250 0.745
Al1 Al 0.000 0.000 0.000
Al2 Al 0.289 0.750 0.229
Al3 Al 0.500 0.000 0.500
F1 F 0.077 0.250 0.010
F2 F 0.085 0.750 0.323
F3 F 0.145 0.531 0.861
F4 F 0.198 0.563 0.115
F5 F 0.278 0.036 0.569
F6 F 0.388 0.560 0.337
F7 F 0.493 0.750 0.556
F8 F 0.500 0.250 0.861
```



6.
Theoretical X-ray powder pattern of RbNa2AlF6 for CuKα, from a cell relaxed with GGA-PBE.
Kinematic intensities with the Lorentz-polarization factor, no thermal factor.

The 10 most intense peaks (10° ≤ 2θ ≤ 80°), in order of falling intensity:
| Position (°2θ) | d_spacing | I/Imax |
| --- | --- | --- |
| 28.6 | 3.120 | 100 |
| 20.1 | 4.412 | 85 |
| 40.9 | 2.206 | 69 |
| 59.2 | 1.560 | 35 |
| 44.8 | 2.024 | 34 |
| 33.7 | 2.660 | 32 |
| 50.7 | 1.801 | 30 |
| 67.1 | 1.395 | 26 |
| 46.0 | 1.973 | 23 |
| 54.0 | 1.698 | 11 |

Crystal structure
```
data_RbNa2AlF6
_chemical_formula_sum 'Rb4 Na8 Al4 F24'
_space_group_name_H-M_alt 'F m -3 m'
_space_group_IT_number 225
_space_group_name_Hall '-F 4 2 3'
_cell_length_a 8.824
_cell_length_b 8.824
_cell_length_c 8.824
_cell_angle_alpha 90.00
_cell_angle_beta 90.00
_cell_angle_gamma 90.00
loop_
_atom_site_label
_atom_site_type_symbol
_atom_site_fract_x
_atom_site_fract_y
_atom_site_fract_z
Rb1 Rb 0.000 0.000 0.000
Na1 Na 0.250 0.250 0.250
Al1 Al 0.000 0.000 0.500
F1 F 0.000 0.000 0.293
```



7.
Theoretical X-ray powder pattern of Rb2NaAl6F21 for CuKα, from a cell relaxed with GGA-PBE.
Kinematic intensities with the Lorentz-polarization factor, no thermal factor.

The 10 most intense peaks (10° ≤ 2θ ≤ 80°), in order of falling intensity:
| Position (°2θ) | d_spacing | I/Imax |
| --- | --- | --- |
| 26.9 | 3.317 | 100 |
| 29.3 | 3.047 | 92 |
| 51.7 | 1.769 | 67 |
| 19.1 | 4.650 | 46 |
| 28.9 | 3.084 | 46 |
| 26.2 | 3.396 | 44 |
| 38.7 | 2.325 | 37 |
| 31.8 | 2.816 | 37 |
| 47.8 | 1.904 | 35 |
| 45.4 | 1.998 | 34 |

Crystal structure
```
data_Rb2NaAl6F21
_chemical_formula_sum 'Rb4 Na2 Al12 F42'
_space_group_name_H-M_alt 'C 1 2 1'
_space_group_IT_number 5
_cell_length_a 12.251
_cell_length_b 7.082
_cell_length_c 10.354
_cell_angle_alpha 90.00
_cell_angle_beta 113.19
_cell_angle_gamma 90.00
loop_
_space_group_symop_operation_xyz
'x,y,z'
'-x,y,-z'
'x+1/2,y+1/2,z'
'-x+1/2,y+1/2,-z'
loop_
_atom_site_label
_atom_site_type_symbol
_atom_site_fract_x
_atom_site_fract_y
_atom_site_fract_z
Rb1 Rb 0.136 0.000 0.406
Na1 Na 0.000 0.515 0.500
Al1 Al 0.064 0.526 0.191
Al2 Al 0.186 0.272 0.808
Al3 Al 0.188 0.773 0.810
F1 F 0.000 0.494 0.000
F2 F 0.036 0.339 0.795
F3 F 0.050 0.708 0.831
F4 F 0.115 0.766 0.626
F5 F 0.123 0.558 0.375
F6 F 0.134 0.272 0.622
F7 F 0.146 0.023 0.812
F8 F 0.163 0.708 0.171
F9 F 0.172 0.339 0.204
F10 F 0.230 0.522 0.814
F11 F 0.235 0.279 0.999
```



8.
Theoretical X-ray powder pattern of Rb2NaAlF6 for CuKα, from a cell relaxed with GGA-PBE.
Kinematic intensities with the Lorentz-polarization factor, no thermal factor.

The 10 most intense peaks (10° ≤ 2θ ≤ 80°), in order of falling intensity:
| Position (°2θ) | d_spacing | I/Imax |
| --- | --- | --- |
| 29.9 | 2.987 | 100 |
| 36.9 | 2.439 | 55 |
| 42.8 | 2.112 | 54 |
| 53.1 | 1.725 | 36 |
| 62.1 | 1.494 | 30 |
| 70.5 | 1.336 | 20 |
| 21.0 | 4.225 | 19 |
| 74.5 | 1.274 | 14 |
| 48.2 | 1.889 | 12 |
| 78.4 | 1.220 | 9 |

Crystal structure
```
data_Rb2NaAlF6
_chemical_formula_sum 'Rb8 Na4 Al4 F24'
_space_group_name_H-M_alt 'F m -3 m'
_space_group_IT_number 225
_space_group_name_Hall '-F 4 2 3'
_cell_length_a 8.449
_cell_length_b 8.449
_cell_length_c 8.449
_cell_angle_alpha 90.00
_cell_angle_beta 90.00
_cell_angle_gamma 90.00
loop_
_atom_site_label
_atom_site_type_symbol
_atom_site_fract_x
_atom_site_fract_y
_atom_site_fract_z
Rb1 Rb 0.250 0.250 0.250
Na1 Na 0.000 0.000 0.000
Al1 Al 0.000 0.000 0.500
F1 F 0.000 0.000 0.281
```



9.
Theoretical X-ray powder pattern of Rb2NaAl3F12 for CuKα, from a cell relaxed with GGA-PBE.
Kinematic intensities with the Lorentz-polarization factor, no thermal factor.

The 10 most intense peaks (10° ≤ 2θ ≤ 80°), in order of falling intensity:
| Position (°2θ) | d_spacing | I/Imax |
| --- | --- | --- |
| 29.3 | 3.047 | 100 |
| 29.5 | 3.028 | 83 |
| 24.8 | 3.584 | 49 |
| 29.0 | 3.075 | 28 |
| 29.7 | 3.011 | 27 |
| 24.7 | 3.603 | 27 |
| 51.7 | 1.769 | 27 |
| 35.5 | 2.530 | 27 |
| 47.0 | 1.933 | 26 |
| 38.9 | 2.316 | 24 |

Crystal structure
```
data_Rb2NaAl3F12
_chemical_formula_sum 'Rb4 Na2 Al6 F24'
_space_group_name_H-M_alt 'P 1'
_space_group_IT_number 1
_cell_length_a 7.107
_cell_length_b 7.207
_cell_length_c 10.029
_cell_angle_alpha 91.04
_cell_angle_beta 90.00
_cell_angle_gamma 90.00
loop_
_space_group_symop_operation_xyz
'x,y,z'
loop_
_atom_site_label
_atom_site_type_symbol
_atom_site_fract_x
_atom_site_fract_y
_atom_site_fract_z
Rb1 Rb 0.000 0.000 0.000
Rb2 Rb 0.002 0.505 0.760
Rb3 Rb 0.502 0.038 0.283
Rb4 Rb 0.509 0.524 0.526
Na1 Na 0.507 0.738 0.889
Na2 Na 0.999 0.294 0.393
Al1 Al 0.248 0.019 0.640
Al2 Al 0.259 0.512 0.144
Al3 Al 0.504 0.226 0.917
Al4 Al 0.752 0.022 0.642
Al5 Al 0.760 0.514 0.143
Al6 Al 0.997 0.803 0.371
F1 F 0.003 0.443 0.134
F2 F 0.008 0.009 0.701
F3 F 0.185 0.718 0.255
F4 F 0.191 0.900 0.481
F5 F 0.222 0.240 0.575
F6 F 0.227 0.659 0.998
F7 F 0.288 0.796 0.706
F8 F 0.291 0.374 0.278
F9 F 0.315 0.319 0.022
F10 F 0.318 0.124 0.801
F11 F 0.498 0.019 0.001
F12 F 0.501 0.598 0.151
F13 F 0.505 0.433 0.823
F14 F 0.508 0.021 0.589
F15 F 0.684 0.320 0.027
F16 F 0.699 0.124 0.806
F17 F 0.719 0.790 0.706
F18 F 0.725 0.374 0.277
F19 F 0.782 0.662 0.997
F20 F 0.791 0.242 0.568
F21 F 0.809 0.898 0.478
F22 F 0.811 0.709 0.254
F23 F 0.998 0.020 0.279
F24 F 0.998 0.599 0.466
```



10.
Theoretical X-ray powder pattern of Na2AlTlF6 for CuKα, from a cell relaxed with GGA-PBE.
Kinematic intensities with the Lorentz-polarization factor, no thermal factor.

The 10 most intense peaks (10° ≤ 2θ ≤ 80°), in order of falling intensity:
| Position (°2θ) | d_spacing | I/Imax |
| --- | --- | --- |
| 28.6 | 3.122 | 100 |
| 20.1 | 4.415 | 98 |
| 33.7 | 2.662 | 69 |
| 17.4 | 5.098 | 65 |
| 44.7 | 2.026 | 46 |
| 40.9 | 2.207 | 43 |
| 46.0 | 1.974 | 37 |
| 50.6 | 1.802 | 36 |
| 59.2 | 1.561 | 24 |
| 67.0 | 1.396 | 23 |

Crystal structure
```
data_Na2AlTlF6
_chemical_formula_sum 'Na8 Al4 Tl4 F24'
_space_group_name_H-M_alt 'F m -3 m'
_space_group_IT_number 225
_space_group_name_Hall '-F 4 2 3'
_cell_length_a 8.830
_cell_length_b 8.830
_cell_length_c 8.830
_cell_angle_alpha 90.00
_cell_angle_beta 90.00
_cell_angle_gamma 90.00
loop_
_atom_site_label
_atom_site_type_symbol
_atom_site_fract_x
_atom_site_fract_y
_atom_site_fract_z
Na1 Na 0.250 0.250 0.250
Al1 Al 0.000 0.000 0.000
Tl1 Tl 0.000 0.000 0.500
F1 F 0.000 0.000 0.207
```